This entry pairs a crystal structure of Ba2VCu2F12 with its theoretical powder X-ray diffraction pattern. Radiation: a wavelength of 1.5418 Å. Structure: a crystal structure in Alexandria, relaxed with PBE+U.

Principal peaks in the range 5° ≤ 2θ ≤ 70°, by angle:
2θ/deg, intensity
24.95, 1000
25.61, 419
26.05, 347
33.08, 363
37.91, 495
41.49, 295

Structure:
```
Ba2VCu2F12
1.0
5.422 0.000 0.000
2.398 6.869 0.000
2.541 2.300 6.557
Ba V Cu F
2 1 2 12
Direct
0.234 0.292 0.287
0.766 0.708 0.713
0.000 0.000 0.000
0.453 0.714 0.328
0.547 0.286 0.672
0.023 0.750 0.984
0.094 0.870 0.260
0.228 0.449 0.571
0.333 0.852 0.524
0.367 0.991 0.864
0.464 0.420 0.865
0.536 0.580 0.135
0.633 0.009 0.136
0.667 0.148 0.476
0.772 0.551 0.429
0.906 0.130 0.740
0.977 0.250 0.016
```